# 1
Computed powder diffractogram of Cs2K4As for Cu Kα (weighted mean of Kα1 and Kα2), from a structure optimized by DFT (PBE).
Kinematic intensities with the Lorentz-polarization factor, no thermal factor.

Structural model:
Lattice parameters (Å, degrees): 6.5450 6.5450 25.8041 90.00 90.00 90.00
Fractional positions:
Cs 0.0000 0.0000 0.1871
Cs 0.0000 0.0000 0.8129
Cs 0.5000 0.5000 0.3129
Cs 0.5000 0.5000 0.6871
K 0.0000 0.0000 0.3780
K 0.0000 0.0000 0.6220
K 0.0000 0.5000 0.0000
K 0.0000 0.5000 0.5000
K 0.5000 0.0000 0.0000
K 0.5000 0.0000 0.5000
K 0.5000 0.5000 0.1220
K 0.5000 0.5000 0.8780
As 0.0000 0.0000 0.5000
As 0.5000 0.5000 0.0000

Top 8 peaks for 2θ = 5–70°, in order of rising 2θ:
| 2θ (°) | I/Imax |
| --- | --- |
| 17.02 | 100 |
| 19.18 | 63 |
| 20.39 | 34 |
| 20.65 | 27 |
| 21.93 | 41 |
| 27.25 | 60 |
| 32.31 | 42 |
| 34.44 | 29 |

***

# 2
Computed powder diffractogram of Cs7K3As for Cu Kα (weighted mean of Kα1 and Kα2), from a structure optimized by DFT (PBE).
Kinematic intensities with the Lorentz-polarization factor, no thermal factor.

Structural model:
Lattice parameters (Å, degrees): 9.3017 9.3017 12.2274 103.05 103.05 100.93
Fractional positions:
Cs 0.0000 0.0000 0.0000
Cs 0.3625 0.7554 0.7066
Cs 0.3703 0.3703 0.8688
Cs 0.5635 0.8944 0.1143
Cs 0.7554 0.3625 0.7066
Cs 0.8071 0.8071 0.6123
Cs 0.8944 0.5635 0.1143
K 0.2953 0.9795 0.4086
K 0.4274 0.4274 0.2968
K 0.9795 0.2953 0.4086
As 0.6824 0.6824 0.8768

Top 8 peaks for 2θ = 5–70°, in order of rising 2θ:
| 2θ (°) | I/Imax |
| --- | --- |
| 7.73 | 100 |
| 19.55 | 79 |
| 20.63 | 70 |
| 20.80 | 83 |
| 23.17 | 60 |
| 23.38 | 55 |
| 23.73 | 79 |
| 28.78 | 55 |

***

# 3
Computed powder diffractogram of Cs2KMnAs2 for Cu Kα (weighted mean of Kα1 and Kα2), from a structure optimized by DFT (PBE).
Kinematic intensities with the Lorentz-polarization factor, no thermal factor.

Structural model:
Lattice parameters (Å, degrees): 9.5464 9.5464 9.5464 130.36 67.17 137.77
Fractional positions:
Cs 0.1773 0.2229 0.4002
Cs 0.3227 0.7229 0.0456
Cs 0.6773 0.2771 0.9544
Cs 0.8227 0.7771 0.5998
K 0.2500 0.7500 0.5000
K 0.7500 0.2500 0.5000
Mn 0.2500 0.2500 0.0000
Mn 0.7500 0.7500 0.0000
As 0.0770 0.8240 0.9010
As 0.4230 0.3240 0.7470
As 0.5770 0.6760 0.2530
As 0.9230 0.1760 0.0990

Top 8 peaks for 2θ = 5–70°, in order of rising 2θ:
| 2θ (°) | I/Imax |
| --- | --- |
| 12.37 | 21 |
| 22.18 | 17 |
| 24.88 | 17 |
| 25.91 | 20 |
| 28.22 | 100 |
| 34.36 | 36 |
| 47.14 | 22 |
| 53.24 | 17 |